# 1
Ga10GePb3O20: theoretical powder XRD pattern (λ = 1.5418 Å (Cu Kα)), based on a GGA-PBE-relaxed structure.
Neutral-atom scattering factors, no anomalous dispersion.

Peak list (10 most intense, 10° ≤ 2θ ≤ 90°, by intensity)
29.06 deg, d 3.073, intensity 1000; 30.38 deg, d 2.942, intensity 976; 28.18 deg, d 3.167, intensity 858; 28.39 deg, d 3.143, intensity 728; 34.63 deg, d 2.590, intensity 534; 30.84 deg, d 2.899, intensity 458; 35.38 deg, d 2.537, intensity 417; 42.15 deg, d 2.144, intensity 325; 28.80 deg, d 3.100, intensity 322; 55.81 deg, d 1.647, intensity 302

Atomic structure:
a = 15.837 Å, b = 11.863 Å, c = 5.180 Å
α = 90.00°, β = 108.91°, γ = 90.00°
Space group C2/m (No. 12)
One atom of each set of equivalent atoms:
Ga 0.000 0.134 0.000 [4 per cell]
Ga 0.136 0.214 0.608 [8 per cell]
Ga 0.144 0.364 0.128 [8 per cell]
Ge 0.000 0.000 0.500 [2 per cell]
Pb 0.000 0.500 0.500 [2 per cell]
Pb 0.222 0.000 0.282 [4 per cell]
O 0.066 0.000 0.248 [4 per cell]
O 0.069 0.115 0.742 [8 per cell]
O 0.083 0.245 0.232 [8 per cell]
O 0.097 0.500 0.196 [4 per cell]
O 0.137 0.355 0.765 [8 per cell]
O 0.240 0.136 0.632 [8 per cell]

=====

# 2
Os3C9Se2O9: theoretical powder XRD pattern (λ = 1.5418 Å (Cu Kα)), based on a GGA-PBE-relaxed structure.
Neutral-atom scattering factors, no anomalous dispersion.

Peak list (10 most intense, 10° ≤ 2θ ≤ 90°, by intensity)
13.08 deg, d 6.770, intensity 1000; 14.92 deg, d 5.937, intensity 694; 15.54 deg, d 5.702, intensity 686; 16.07 deg, d 5.516, intensity 571; 14.47 deg, d 6.123, intensity 446; 13.75 deg, d 6.439, intensity 436; 12.35 deg, d 7.165, intensity 432; 11.08 deg, d 7.985, intensity 350; 19.52 deg, d 4.548, intensity 335; 27.71 deg, d 3.220, intensity 236

Atomic structure:
a = 6.906 Å, b = 9.757 Å, c = 13.702 Å
α = 94.24°, β = 95.72°, γ = 110.42°
Space group P-1 (No. 2)
One atom of each set of equivalent atoms:
Os 0.068 0.234 0.344 [2 per cell]
Os 0.218 0.306 0.157 [2 per cell]
Os 0.392 0.607 0.258 [2 per cell]
C 0.010 0.874 0.888 [2 per cell]
C 0.059 0.306 0.475 [2 per cell]
C 0.137 0.067 0.379 [2 per cell]
C 0.214 0.412 0.045 [2 per cell]
C 0.223 0.883 0.684 [2 per cell]
C 0.312 0.733 0.175 [2 per cell]
C 0.324 0.308 0.766 [2 per cell]
C 0.418 0.229 0.114 [2 per cell]
C 0.428 0.725 0.378 [2 per cell]
Se 0.010 0.437 0.251 [2 per cell]
Se 0.445 0.384 0.327 [2 per cell]
O 0.060 0.355 0.555 [2 per cell]
O 0.147 0.983 0.918 [2 per cell]
O 0.152 0.253 0.780 [2 per cell]
O 0.171 0.965 0.400 [2 per cell]
O 0.208 0.474 0.976 [2 per cell]
O 0.262 0.808 0.124 [2 per cell]
O 0.401 0.953 0.701 [2 per cell]
O 0.452 0.793 0.455 [2 per cell]
O 0.459 0.816 0.911 [2 per cell]

=====

# 3
Mg6TiSnO8: theoretical powder XRD pattern (λ = 1.5418 Å (Cu Kα)), based on a GGA-PBE-relaxed structure.
Neutral-atom scattering factors, no anomalous dispersion.

Peak list (10 most intense, 10° ≤ 2θ ≤ 90°, by intensity)
40.54 deg, d 2.225, intensity 1000; 58.45 deg, d 1.579, intensity 598; 34.84 deg, d 2.575, intensity 544; 40.25 deg, d 2.241, intensity 501; 19.95 deg, d 4.450, intensity 414; 28.26 deg, d 3.158, intensity 362; 58.68 deg, d 1.573, intensity 301; 73.55 deg, d 1.288, intensity 281; 19.81 deg, d 4.481, intensity 215; 22.30 deg, d 3.986, intensity 213

Atomic structure:
a = 4.450 Å, b = 4.450 Å, c = 8.963 Å
α = 90.00°, β = 90.00°, γ = 90.00°
Space group P4/mmm (No. 123)
One atom of each set of equivalent atoms:
Mg 0.000 0.000 0.000 [1 per cell]
Mg 0.000 0.000 0.500 [1 per cell]
Mg 0.000 0.500 0.242 [4 per cell]
Ti 0.500 0.500 0.000 [1 per cell]
Sn 0.500 0.500 0.500 [1 per cell]
O 0.000 0.000 0.250 [2 per cell]
O 0.000 0.500 0.000 [2 per cell]
O 0.000 0.500 0.500 [2 per cell]
O 0.500 0.500 0.233 [2 per cell]